1.
Starting from DFT lattice parameters and positions (PBE), the PXRD pattern of Mg5Si6 was computed for Cu Kα (λ = 1.5418 Å).

Structural model:
```
data_Mg5Si6
_space_group_name_H-M_alt 'C 1 m 1'
_space_group_IT_number 8
_space_group_name_Hall 'C -2y'
_cell_length_a 29.219
_cell_length_b 4.158
_cell_length_c 6.843
_cell_angle_alpha 90.00
_cell_angle_beta 100.01
_cell_angle_gamma 90.00
loop_
_atom_site_label
_atom_site_type_symbol
_atom_site_fract_x
_atom_site_fract_y
_atom_site_fract_z
Mg1 Mg 0.000 0.000 0.000
Mg2 Mg 0.006 0.500 0.359
Mg3 Mg 0.094 0.500 0.090
Mg4 Mg 0.126 0.500 0.574
Mg5 Mg 0.168 0.000 0.302
Mg6 Mg 0.203 0.500 0.013
Mg7 Mg 0.242 0.500 0.547
Mg8 Mg 0.330 0.000 0.619
Mg9 Mg 0.378 0.000 0.156
Mg10 Mg 0.433 0.000 0.674
Si1 Si 0.024 0.500 0.764
Si2 Si 0.062 0.000 0.673
Si3 Si 0.074 0.000 0.334
Si4 Si 0.136 0.000 0.895
Si5 Si 0.195 0.000 0.699
Si6 Si 0.261 0.000 0.266
Si7 Si 0.269 0.000 0.910
Si8 Si 0.308 0.500 0.255
Si9 Si 0.315 0.500 0.906
Si10 Si 0.381 0.500 0.481
Si11 Si 0.401 0.500 0.908
Si12 Si 0.438 0.500 0.269
```

Main lines, most intense first (2θ = 10–90°):
Position (°2θ)  I_rel  h k l
36.08  100  9 1 -1
43.53  73  0 2 0
34.83  47  1 1 2
34.93  47  7 1 1
38.18  45  7 1 -2
39.70  44  8 0 2

2.
Starting from DFT lattice parameters and positions (PBE), the PXRD pattern of Mg4Si7 was computed for Cu Kα (λ = 1.5418 Å).

Structural model:
```
data_Mg4Si7
_space_group_name_H-M_alt 'C 1 m 1'
_space_group_IT_number 8
_space_group_name_Hall 'C -2y'
_cell_length_a 29.206
_cell_length_b 4.424
_cell_length_c 5.688
_cell_angle_alpha 90.00
_cell_angle_beta 90.43
_cell_angle_gamma 90.00
loop_
_atom_site_label
_atom_site_type_symbol
_atom_site_fract_x
_atom_site_fract_y
_atom_site_fract_z
Mg1 Mg 0.000 0.000 0.000
Mg2 Mg 0.005 0.000 0.505
Mg3 Mg 0.055 0.500 0.250
Mg4 Mg 0.105 0.000 0.991
Mg5 Mg 0.111 0.000 0.497
Mg6 Mg 0.239 0.500 0.486
Mg7 Mg 0.369 0.000 0.500
Mg8 Mg 0.375 0.000 0.997
Si1 Si 0.054 0.500 0.749
Si2 Si 0.151 0.500 0.757
Si3 Si 0.153 0.500 0.236
Si4 Si 0.195 0.000 0.216
Si5 Si 0.195 0.000 0.773
Si6 Si 0.237 0.500 0.981
Si7 Si 0.283 0.000 0.208
Si8 Si 0.283 0.000 0.773
Si9 Si 0.326 0.500 0.757
Si10 Si 0.327 0.500 0.237
Si11 Si 0.415 0.500 0.260
Si12 Si 0.415 0.500 0.739
Si13 Si 0.457 0.000 0.277
Si14 Si 0.460 0.000 0.724
```

Main lines, most intense first (2θ = 10–90°):
Position (°2θ)  I_rel  h k l
39.59  100  11 1 0
40.80  59  0 2 0
38.82  36  3 1 2
38.70  31  3 1 -2
73.45  24  11 3 0
40.04  24  8 0 -2

3.
Starting from DFT lattice parameters and positions (PBE), the PXRD pattern of Mg4Si7 was computed for Cu Kα (λ = 1.5418 Å).

Structural model:
```
data_Mg4Si7
_space_group_name_H-M_alt 'P 1'
_space_group_IT_number 1
_space_group_name_Hall 'P 1'
_cell_length_a 3.992
_cell_length_b 6.870
_cell_length_c 14.845
_cell_angle_alpha 103.37
_cell_angle_beta 96.31
_cell_angle_gamma 91.28
loop_
_atom_site_label
_atom_site_type_symbol
_atom_site_fract_x
_atom_site_fract_y
_atom_site_fract_z
Mg1 Mg 0.000 0.000 0.000
Mg2 Mg 0.038 0.529 0.079
Mg3 Mg 0.089 0.994 0.239
Mg4 Mg 0.153 0.493 0.307
Mg5 Mg 0.392 0.377 0.723
Mg6 Mg 0.437 0.888 0.815
Mg7 Mg 0.568 0.256 0.151
Mg8 Mg 0.835 0.265 0.555
Si1 Si 0.285 0.034 0.436
Si2 Si 0.318 0.587 0.562
Si3 Si 0.352 0.956 0.593
Si4 Si 0.489 0.269 0.957
Si5 Si 0.498 0.633 0.954
Si6 Si 0.545 0.853 0.103
Si7 Si 0.613 0.660 0.218
Si8 Si 0.631 0.232 0.350
Si9 Si 0.747 0.839 0.379
Si10 Si 0.755 0.560 0.454
Si11 Si 0.861 0.649 0.695
Si12 Si 0.894 0.014 0.693
Si13 Si 0.947 0.243 0.849
Si14 Si 0.952 0.609 0.855
```

Main lines, most intense first (2θ = 10–90°):
Position (°2θ)  I_rel  h k l
35.56  100  1 -1 4
45.47  64  2 0 -1
36.02  63  1 1 3
36.61  39  1 1 -5
40.52  38  0 3 0
36.21  26  0 2 -5

4.
Starting from DFT lattice parameters and positions (PBE), the PXRD pattern of Mg3Si4 was computed for Cu Kα (λ = 1.5418 Å).

Structural model:
```
data_Mg3Si4
_space_group_name_H-M_alt 'P 1 m 1'
_space_group_IT_number 6
_space_group_name_Hall 'P -2y'
_cell_length_a 7.980
_cell_length_b 3.626
_cell_length_c 9.771
_cell_angle_alpha 90.00
_cell_angle_beta 113.11
_cell_angle_gamma 90.00
loop_
_atom_site_label
_atom_site_type_symbol
_atom_site_fract_x
_atom_site_fract_y
_atom_site_fract_z
Mg1 Mg 0.000 0.000 0.000
Mg2 Mg 0.023 0.500 0.508
Mg3 Mg 0.329 0.500 0.187
Mg4 Mg 0.511 0.500 0.509
Mg5 Mg 0.648 0.500 0.978
Mg6 Mg 0.694 0.000 0.276
Si1 Si 0.193 0.000 0.353
Si2 Si 0.278 0.500 0.801
Si3 Si 0.309 0.000 0.630
Si4 Si 0.380 0.000 0.995
Si5 Si 0.635 0.000 0.749
Si6 Si 0.817 0.000 0.600
Si7 Si 0.966 0.500 0.771
Si8 Si 0.973 0.500 0.223
```

Main lines, most intense first (2θ = 10–90°):
Position (°2θ)  I_rel  h k l
39.00  100  0 1 3
33.40  100  2 1 -1
50.34  75  0 2 0
45.10  57  2 1 2
31.03  53  1 1 -2
35.01  49  2 1 -2

5.
Starting from DFT lattice parameters and positions (PBE), the PXRD pattern of Mg4Si3 was computed for Cu Kα (λ = 1.5418 Å).

Structural model:
```
data_Mg4Si3
_space_group_name_H-M_alt 'P 1'
_space_group_IT_number 1
_space_group_name_Hall 'P 1'
_cell_length_a 7.080
_cell_length_b 8.186
_cell_length_c 10.336
_cell_angle_alpha 88.83
_cell_angle_beta 78.63
_cell_angle_gamma 64.71
loop_
_atom_site_label
_atom_site_type_symbol
_atom_site_fract_x
_atom_site_fract_y
_atom_site_fract_z
Mg1 Mg 0.000 0.000 0.000
Mg2 Mg 0.011 0.746 0.546
Mg3 Mg 0.166 0.346 0.634
Mg4 Mg 0.198 0.912 0.260
Mg5 Mg 0.199 0.279 0.136
Mg6 Mg 0.232 0.871 0.724
Mg7 Mg 0.319 0.497 0.841
Mg8 Mg 0.373 0.478 0.331
Mg9 Mg 0.481 0.792 0.966
Mg10 Mg 0.507 0.809 0.462
Mg11 Mg 0.583 0.012 0.685
Mg12 Mg 0.632 0.975 0.179
Mg13 Mg 0.708 0.111 0.424
Mg14 Mg 0.804 0.263 0.763
Mg15 Mg 0.865 0.415 0.427
Mg16 Mg 0.903 0.503 0.965
Si1 Si 0.064 0.070 0.520
Si2 Si 0.203 0.633 0.098
Si3 Si 0.229 0.167 0.868
Si4 Si 0.306 0.174 0.380
Si5 Si 0.458 0.492 0.584
Si6 Si 0.567 0.393 0.043
Si7 Si 0.588 0.099 0.937
Si8 Si 0.662 0.626 0.214
Si9 Si 0.679 0.627 0.694
Si10 Si 0.796 0.276 0.199
Si11 Si 0.882 0.796 0.825
Si12 Si 0.927 0.718 0.300
```

Main lines, most intense first (2θ = 10–90°):
Position (°2θ)  I_rel  h k l
35.32  100  2 3 0
36.77  61  2 0 -2
42.00  53  0 3 2
36.29  49  1 1 4
43.32  48  1 2 -4
39.84  42  3 1 2

6.
Starting from DFT lattice parameters and positions (PBE), the PXRD pattern of Mg3Si4 was computed for Cu Kα (λ = 1.5418 Å).

Structural model:
```
data_Mg3Si4
_space_group_name_H-M_alt 'P 1'
_space_group_IT_number 1
_space_group_name_Hall 'P 1'
_cell_length_a 5.400
_cell_length_b 7.060
_cell_length_c 7.762
_cell_angle_alpha 113.38
_cell_angle_beta 90.64
_cell_angle_gamma 102.44
loop_
_atom_site_label
_atom_site_type_symbol
_atom_site_fract_x
_atom_site_fract_y
_atom_site_fract_z
Mg1 Mg 0.000 0.000 0.000
Mg2 Mg 0.019 0.907 0.496
Mg3 Mg 0.128 0.481 0.215
Mg4 Mg 0.349 0.291 0.469
Mg5 Mg 0.638 0.606 0.050
Mg6 Mg 0.668 0.176 0.745
Si1 Si 0.070 0.595 0.866
Si2 Si 0.195 0.277 0.822
Si3 Si 0.468 0.857 0.902
Si4 Si 0.487 0.876 0.361
Si5 Si 0.537 0.717 0.579
Si6 Si 0.562 0.228 0.123
Si7 Si 0.821 0.178 0.359
Si8 Si 0.890 0.546 0.563
```

Main lines, most intense first (2θ = 10–90°):
Position (°2θ)  I_rel  h k l
36.67  100  1 2 0
34.70  90  0 1 -3
35.33  77  2 -1 1
42.36  76  2 1 -2
39.37  74  1 -3 1
34.97  70  -1 1 2

7.
Starting from DFT lattice parameters and positions (PBE), the PXRD pattern of Mg3Si4 was computed for Cu Kα (λ = 1.5418 Å).

Structural model:
```
data_Mg3Si4
_space_group_name_H-M_alt 'P 1'
_space_group_IT_number 1
_space_group_name_Hall 'P 1'
_cell_length_a 4.868
_cell_length_b 7.854
_cell_length_c 8.089
_cell_angle_alpha 63.79
_cell_angle_beta 81.52
_cell_angle_gamma 74.71
loop_
_atom_site_label
_atom_site_type_symbol
_atom_site_fract_x
_atom_site_fract_y
_atom_site_fract_z
Mg1 Mg 0.000 0.000 0.000
Mg2 Mg 0.022 0.227 0.527
Mg3 Mg 0.348 0.496 0.597
Mg4 Mg 0.392 0.702 0.877
Mg5 Mg 0.495 0.880 0.264
Mg6 Mg 0.976 0.423 0.003
Si1 Si 0.018 0.615 0.226
Si2 Si 0.478 0.100 0.804
Si3 Si 0.517 0.201 0.317
Si4 Si 0.536 0.280 0.981
Si5 Si 0.559 0.525 0.244
Si6 Si 0.790 0.650 0.605
Si7 Si 0.872 0.862 0.742
Si8 Si 0.950 0.948 0.407
```

Main lines, most intense first (2θ = 10–90°):
Position (°2θ)  I_rel  h k l
36.55  100  1 2 3
35.99  99  1 3 1
38.37  75  2 0 0
32.43  66  0 1 -2
41.25  64  1 -2 1
45.64  55  2 3 1

8.
Starting from DFT lattice parameters and positions (PBE), the PXRD pattern of Mg5Si6 was computed for Cu Kα (λ = 1.5418 Å).

Structural model:
```
data_Mg5Si6
_space_group_name_H-M_alt 'C 1 m 1'
_space_group_IT_number 8
_space_group_name_Hall 'C -2y'
_cell_length_a 28.784
_cell_length_b 4.030
_cell_length_c 7.091
_cell_angle_alpha 90.00
_cell_angle_beta 102.01
_cell_angle_gamma 90.00
loop_
_atom_site_label
_atom_site_type_symbol
_atom_site_fract_x
_atom_site_fract_y
_atom_site_fract_z
Mg1 Mg 0.000 0.000 0.000
Mg2 Mg 0.011 0.500 0.670
Mg3 Mg 0.127 0.000 0.363
Mg4 Mg 0.170 0.000 0.891
Mg5 Mg 0.206 0.500 0.614
Mg6 Mg 0.242 0.000 0.339
Mg7 Mg 0.284 0.000 0.877
Mg8 Mg 0.378 0.500 0.969
Mg9 Mg 0.422 0.500 0.544
Mg10 Mg 0.448 0.000 0.226
Si1 Si 0.006 0.000 0.388
Si2 Si 0.053 0.500 0.330
Si3 Si 0.076 0.000 0.818
Si4 Si 0.091 0.500 0.049
Si5 Si 0.110 0.500 0.643
Si6 Si 0.174 0.500 0.212
Si7 Si 0.234 0.500 0.018
Si8 Si 0.302 0.500 0.602
Si9 Si 0.308 0.500 0.249
Si10 Si 0.355 0.000 0.628
Si11 Si 0.359 0.000 0.277
Si12 Si 0.434 0.000 0.835
```

Main lines, most intense first (2θ = 10–90°):
Position (°2θ)  I_rel  h k l
34.78  100  1 1 2
45.00  79  0 2 0
36.54  78  9 1 -1
37.82  53  7 1 -2
35.82  52  7 1 1
41.81  27  11 1 0